Record 1
For Ac3Ga3Au8, a crystal structure in Alexandria, relaxed with GGA-PBE gives the computed PXRD pattern in this record (copper Kα).
Lines closer than 0.1° are merged.

Top 6 peaks for 5 to 70 degrees two-theta, low angle first:
d 2.859, 31.3 deg, I 14
d 2.739, 32.7 deg, I 100
d 2.608, 34.4 deg, I 15
d 2.453, 36.6 deg, I 17
d 2.365, 38.1 deg, I 32
d 1.427, 65.4 deg, I 15

```
Ac3Ga3Au8
1.0
8.5963 -2.3648 0.0000
8.5963 2.3648 0.0000
-5.1008 0.0000 7.8691
Ac Ga Au
3 3 8
Direct
0.0000 0.0000 0.0000
0.2955 0.2955 0.2706
0.7045 0.7045 0.7294
0.0000 0.0000 0.5000
0.3307 0.3307 0.6713
0.6693 0.6693 0.3287
0.1202 0.1202 0.8338
0.1427 0.1427 0.4292
0.3560 0.3560 0.9713
0.4884 0.4884 0.6689
0.5116 0.5116 0.3311
0.6440 0.6440 0.0287
0.8573 0.8573 0.5708
0.8798 0.8798 0.1662
```



Record 2
For AcGaAu4, a crystal structure in Alexandria, relaxed with GGA-PBE gives the computed PXRD pattern in this record (copper Kα).
Lines closer than 0.1° are merged.

Top 6 peaks for 5 to 70 degrees two-theta, low angle first:
d 2.731, 32.8 deg, I 100
d 2.684, 33.4 deg, I 68
d 2.506, 35.8 deg, I 25
d 2.254, 40.0 deg, I 42
d 2.180, 41.4 deg, I 40
d 1.567, 58.9 deg, I 37

```
AcGaAu4
1.0
2.2542 -8.3493 0.0000
2.2542 8.3493 0.0000
0.0000 0.0000 7.0149
Ac Ga Au
2 2 8
Direct
0.1140 0.8860 0.7500
0.8860 0.1140 0.2500
0.2347 0.7653 0.2500
0.7653 0.2347 0.7500
0.0749 0.9251 0.2500
0.3262 0.6738 0.5509
0.3262 0.6738 0.9491
0.5000 0.5000 0.0000
0.5000 0.5000 0.5000
0.6738 0.3262 0.0509
0.6738 0.3262 0.4491
0.9251 0.0749 0.7500
```



Record 3
For Ac2Ga4Ge3Au, a crystal structure in Alexandria, relaxed with GGA-PBE gives the computed PXRD pattern in this record (copper Kα).
Lines closer than 0.1° are merged.

Top 6 peaks for 5 to 70 degrees two-theta, low angle first:
d 4.311, 20.6 deg, I 29
d 2.791, 32.1 deg, I 100
d 2.703, 33.1 deg, I 60
d 2.400, 37.5 deg, I 63
d 1.795, 50.9 deg, I 36
d 1.449, 64.3 deg, I 43

```
Ac2Ga4Ge3Au
1.0
4.7998 0.0000 0.0000
0.0000 4.7998 0.0000
0.0000 0.0000 9.8109
Ac Ga Ge Au
2 4 3 1
Direct
0.0000 0.5000 0.2435
0.5000 0.0000 0.7565
0.0000 0.0000 0.5000
0.0000 0.5000 0.8770
0.5000 0.0000 0.1230
0.5000 0.5000 0.5000
0.0000 0.0000 0.0000
0.0000 0.5000 0.6163
0.5000 0.0000 0.3837
0.5000 0.5000 0.0000
```



Record 4
For AcGa2HgAu5, a crystal structure in Alexandria, relaxed with GGA-PBE gives the computed PXRD pattern in this record (copper Kα).
Lines closer than 0.1° are merged.

Top 6 peaks for 5 to 70 degrees two-theta, low angle first:
d 2.629, 34.1 deg, I 100
d 2.562, 35.0 deg, I 64
d 1.911, 47.6 deg, I 9
d 1.811, 50.4 deg, I 23
d 1.532, 60.4 deg, I 18
d 1.492, 62.2 deg, I 36

```
AcGa2HgAu5
1.0
5.1231 0.0000 0.0000
0.0000 5.1231 0.0000
0.0000 0.0000 7.6446
Ac Ga Hg Au
1 2 1 5
Direct
0.0000 0.0000 0.0000
0.5000 0.5000 0.3384
0.5000 0.5000 0.6616
0.0000 0.0000 0.5000
0.0000 0.5000 0.2647
0.0000 0.5000 0.7353
0.5000 0.0000 0.2647
0.5000 0.0000 0.7353
0.5000 0.5000 0.0000
```